Calculated X-ray diffraction stick pattern
Compound: MnGaAsN
Radiation: Cu Kα
Structure: a structure optimized by DFT (GGA-PBE)
Lines closer than 0.1° are merged.

```
8
Lattice="6.381 0.000 0.000 0.000 3.723 0.000 -0.008 0.000 5.720" Properties=species:S:1:pos:R:3 pbc="T T T"
Mn 0.000 0.000 0.000
Mn 3.191 1.862 0.000
Ga 1.052 1.862 3.613
Ga 4.242 0.000 3.613
As 0.007 0.000 2.531
As 3.197 1.862 2.531
N 1.057 1.862 5.545
N 4.247 0.000 5.545
```

Most intense lines, 2θ from 10° to 80°, sorted by position:
| 2theta | intensity |
| --- | --- |
| 15.5 | 44.6 |
| 27.7 | 93.5 |
| 28.0 | 48.1 |
| 31.3 | 37.4 |
| 31.9 | 61.2 |
| 32.1 | 30.3 |
| 42.3 | 100.0 |
| 42.4 | 48.9 |
| 48.9 | 33.0 |
| 49.3 | 64.2 |
| 56.1 | 26.8 |
| 66.7 | 24.5 |

Calculated X-ray diffraction stick pattern
Compound: Na6GaAs3
Radiation: Cu Kα
Structure: a structure optimized by DFT (GGA-PBE)
Lines closer than 0.1° are merged.

```
40
Lattice="8.351 0.000 0.000 -4.152 7.307 0.000 -1.176 -2.589 16.120" Properties=species:S:1:pos:R:3 pbc="T T T"
Na 0.000 0.000 0.000
Na -3.654 2.151 15.004
Na -2.479 4.128 4.947
Na 0.496 -0.405 3.310
Na -2.466 4.771 8.010
Na -2.126 4.465 11.221
Na -0.999 2.034 13.109
Na 0.292 0.014 15.141
Na -1.125 6.827 1.045
Na 1.143 2.358 5.038
Na 0.184 4.798 3.050
Na 1.603 1.954 8.080
Na 0.490 4.800 9.047
Na 2.874 -0.098 12.882
Na 1.752 2.594 11.295
Na 2.838 4.679 1.184
Na 4.501 2.113 0.067
Na 4.005 2.081 3.244
Na 5.877 -0.128 4.750
Na 2.960 4.728 6.835
Na 4.511 2.179 9.380
Na 5.794 -0.308 11.282
Na 6.514 0.858 7.591
Na 3.477 4.779 12.964
Ga -1.197 2.315 1.498
Ga 0.311 -0.268 9.628
Ga 3.113 -0.214 6.605
Ga 0.375 4.524 14.663
As -2.611 4.348 1.978
As 0.530 -0.283 6.436
As -0.861 1.960 10.135
As 1.289 2.149 1.973
As -2.120 4.679 14.216
As 0.115 4.939 6.055
As 2.877 -0.241 9.699
As 1.791 2.475 14.222
As 5.873 0.032 1.681
As 4.164 2.043 6.238
As 3.357 4.826 9.988
As 5.801 -0.502 14.458
```

Most intense lines, 2θ from 10° to 80°, sorted by position:
| 2theta | intensity |
| --- | --- |
| 11.0 | 21.8 |
| 13.3 | 23.3 |
| 15.1 | 18.6 |
| 22.1 | 68.7 |
| 22.4 | 77.6 |
| 22.5 | 40.8 |
| 36.5 | 47.7 |
| 36.6 | 43.9 |
| 36.9 | 100.0 |
| 37.2 | 49.1 |
| 37.3 | 55.5 |
| 43.4 | 17.5 |

Calculated X-ray diffraction stick pattern
Compound: GaNi3As
Radiation: Cu Kα
Structure: a structure optimized by DFT (GGA-PBE)
Lines closer than 0.1° are merged.

```
5
Lattice="3.954 0.000 0.000 -1.977 3.424 0.000 0.000 0.000 4.882" Properties=species:S:1:pos:R:3 pbc="T T T"
Ga 0.000 0.000 0.000
Ni 0.000 2.283 0.000
Ni 1.977 1.141 1.246
Ni 1.977 1.141 3.636
As 0.000 2.283 2.441
```

Most intense lines, 2θ from 10° to 80°, sorted by position:
| 2theta | intensity |
| --- | --- |
| 18.2 | 10.1 |
| 26.0 | 16.4 |
| 31.9 | 30.8 |
| 36.8 | 3.8 |
| 45.6 | 100.0 |
| 45.9 | 98.1 |
| 49.8 | 4.1 |
| 57.0 | 5.8 |
| 60.2 | 5.5 |
| 66.7 | 29.9 |
| 76.1 | 5.0 |
| 78.4 | 6.2 |

Calculated X-ray diffraction stick pattern
Compound: Ga2AsP
Radiation: Cu Kα
Structure: a structure optimized by DFT (GGA-PBE)
Lines closer than 0.1° are merged.

```
12
Lattice="3.976 0.000 0.000 -1.988 3.443 0.000 0.000 0.000 19.454" Properties=species:S:1:pos:R:3 pbc="T T T"
Ga 0.000 0.000 0.000
Ga 0.000 0.000 9.632
Ga 0.000 2.295 3.148
Ga 0.000 2.295 12.969
Ga 1.988 1.148 6.485
Ga 1.988 1.148 16.117
As 0.000 0.000 16.975
As 0.000 2.295 10.490
As 1.988 1.148 4.006
P 0.000 0.000 7.250
P 0.000 2.295 0.765
P 1.988 1.148 13.734
```

Most intense lines, 2θ from 10° to 80°, sorted by position:
| 2theta | intensity |
| --- | --- |
| 13.7 | 6.0 |
| 26.3 | 4.9 |
| 27.5 | 100.0 |
| 31.8 | 2.2 |
| 34.8 | 3.7 |
| 41.8 | 2.9 |
| 45.7 | 71.1 |
| 47.9 | 1.8 |
| 54.1 | 43.3 |
| 63.6 | 1.3 |
| 66.6 | 11.1 |
| 73.4 | 16.9 |

Calculated X-ray diffraction stick pattern
Compound: GaAsPd5
Radiation: Cu Kα
Structure: a structure optimized by DFT (GGA-PBE)
Lines closer than 0.1° are merged.

```
7
Lattice="3.992 0.000 0.000 0.000 3.992 0.000 0.000 0.000 6.980" Properties=species:S:1:pos:R:3 pbc="T T T"
Ga 0.000 0.000 0.000
As 1.996 1.996 3.490
Pd 0.000 1.996 1.952
Pd 0.000 1.996 5.028
Pd 1.996 0.000 1.952
Pd 1.996 0.000 5.028
Pd 1.996 1.996 0.000
```

Most intense lines, 2θ from 10° to 80°, sorted by position:
| 2theta | intensity |
| --- | --- |
| 22.3 | 7.4 |
| 31.7 | 7.1 |
| 34.1 | 4.8 |
| 34.3 | 13.0 |
| 38.7 | 7.6 |
| 41.1 | 100.0 |
| 45.4 | 40.8 |
| 52.4 | 9.2 |
| 61.2 | 7.7 |
| 66.2 | 12.9 |
| 71.9 | 14.0 |
| 76.1 | 7.3 |